Entry 1:
Sr2PtF2: simulated X-ray powder pattern (λ = 1.5418 Å (Cu Kα)), based on a cell relaxed with GGA-PBE.

Most intense lines, 5° ≤ 2θ ≤ 70°, sorted by position:
2θ (°)	d/Å	I/Imax	h k l
20.7	4.293	75	1 0 1
32.7	2.736	100	1 1 2
35.3	2.545	36	1 0 3
36.7	2.447	51	2 0 0
42.5	2.126	24	2 1 1
51.8	1.764	24	2 1 3
52.9	1.730	17	2 2 0
55.7	1.650	23	2 0 4
63.6	1.462	30	3 1 2
68.6	1.368	28	1 1 6

Cell lengths 4.894, 4.894, 8.940 Å; angles 90.00, 90.00, 90.00 degrees
Space group I4/mmm (No. 139)
Unique sites:
Sr  0.000  0.500  0.250 [4 per cell]
Pt  0.000  0.000  0.000 [2 per cell]
F  0.000  0.000  0.330 [4 per cell]

=====

Entry 2:
TbPtF7: simulated X-ray powder pattern (λ = 1.5418 Å (Cu Kα)), based on a cell relaxed with GGA-PBE.

Most intense lines, 5° ≤ 2θ ≤ 70°, sorted by position:
2θ (°)	d/Å	I/Imax	h k l
22.1	4.030	100	1 1 -2
22.5	3.955	43	2 0 0
23.1	3.845	15	0 1 2
26.4	3.381	17	2 1 -2
29.0	3.076	34	1 1 2
30.0	2.976	16	1 0 -4
32.2	2.779	17	0 2 0
44.6	2.031	17	1 2 -4
44.9	2.017	17	3 0 2
48.3	1.884	26	2 1 -6

Cell lengths 8.931, 5.558, 12.026 Å; angles 90.00, 117.67, 90.00 degrees
Space group P2_1/c (No. 14)
Unique sites:
Tb  0.187  0.239  0.265 [4 per cell]
Pt  0.273  0.742  0.043 [4 per cell]
F  0.025  0.745  0.950 [4 per cell]
F  0.031  0.587  0.732 [4 per cell]
F  0.254  0.553  0.175 [4 per cell]
F  0.274  0.035  0.135 [4 per cell]
F  0.280  0.058  0.458 [4 per cell]
F  0.296  0.563  0.416 [4 per cell]
F  0.480  0.228  0.358 [4 per cell]